1.
AcTmPt2: calculated powder diffraction line list (Cu Kα (λ = 1.5418 Å)), based on DFT lattice parameters and positions (GGA-PBE).
Intensities are scaled so that the largest is 1000.

Structural model:
Unit cell a=6.1117 b=4.6985 c=7.5499 alpha=90.00 beta=113.16 gamma=90.00
Atoms (fractional coordinates):
1 Ac 0.2086 0.2500 0.3802
2 Ac 0.7914 0.7500 0.6198
3 Tm 0.2871 0.2500 0.9109
4 Tm 0.7129 0.7500 0.0891
5 Pt 0.1868 0.7500 0.0826
6 Pt 0.3357 0.7500 0.7085
7 Pt 0.6643 0.2500 0.2915
8 Pt 0.8132 0.2500 0.9174

The 10 most intense peaks (2θ from 10° to 80°), most intense first:
| d [Å] | 2θ/deg | Rel. int. | (hkl) |
| --- | --- | --- | --- |
| 2.792 | 32.1 | 1000 | 0 1 2 |
| 2.395 | 37.6 | 868 | 2 1 -2 |
| 2.349 | 38.3 | 461 | 0 2 0 |
| 2.810 | 31.9 | 406 | 2 0 0 |
| 2.073 | 43.7 | 268 | 2 1 1 |
| 1.802 | 50.7 | 226 | 2 2 0 |
| 1.445 | 64.5 | 182 | 2 2 -4 |
| 1.365 | 68.8 | 151 | 2 3 -2 |
| 1.834 | 49.7 | 139 | 2 0 -4 |
| 2.308 | 39.0 | 134 | 2 0 1 |

***

2.
Ac2Y3Pt4: calculated powder diffraction line list (Cu Kα (λ = 1.5418 Å)), based on DFT lattice parameters and positions (GGA-PBE).
Intensities are scaled so that the largest is 1000.

Structural model:
Unit cell a=7.7634 b=7.8140 c=8.0874 alpha=90.00 beta=109.15 gamma=90.00
Atoms (fractional coordinates):
1 Ac 0.1977 0.1755 0.0832
2 Ac 0.1977 0.3245 0.5832
3 Ac 0.8023 0.6755 0.4168
4 Ac 0.8023 0.8245 0.9168
5 Y 0.2487 0.6633 0.2489
6 Y 0.2487 0.8367 0.7489
7 Y 0.5000 0.0000 0.5000
8 Y 0.5000 0.5000 0.0000
9 Y 0.7513 0.1633 0.2511
10 Y 0.7513 0.3367 0.7511
11 Pt 0.0946 0.5418 0.8694
12 Pt 0.0946 0.9582 0.3694
13 Pt 0.4984 0.6347 0.6256
14 Pt 0.4984 0.8653 0.1256
15 Pt 0.5016 0.1347 0.8744
16 Pt 0.5016 0.3653 0.3744
17 Pt 0.9054 0.0418 0.6306
18 Pt 0.9054 0.4582 0.1306

The 10 most intense peaks (2θ from 10° to 80°), most intense first:
| d [Å] | 2θ/deg | Rel. int. | (hkl) |
| --- | --- | --- | --- |
| 2.979 | 30.0 | 1000 | 2 1 -2 |
| 2.736 | 32.7 | 940 | 2 2 -1 |
| 2.807 | 31.9 | 778 | 1 1 2 |
| 2.548 | 35.2 | 752 | 1 1 -3 |
| 2.465 | 36.4 | 611 | 0 3 1 |
| 3.959 | 22.5 | 432 | 1 1 1 |
| 2.782 | 32.2 | 341 | 1 2 -2 |
| 2.445 | 36.8 | 336 | 3 0 0 |
| 2.457 | 36.6 | 335 | 3 0 -2 |
| 1.402 | 66.7 | 283 | 4 1 -5 |

***

3.
Ac3YPt3: calculated powder diffraction line list (Cu Kα (λ = 1.5418 Å)), based on DFT lattice parameters and positions (GGA-PBE).
Intensities are scaled so that the largest is 1000.

Structural model:
Unit cell a=8.7482 b=7.6447 c=13.4869 alpha=90.00 beta=90.20 gamma=90.00
Atoms (fractional coordinates):
1 Ac 0.1173 0.1568 0.1678
2 Ac 0.1173 0.3432 0.6678
3 Ac 0.3714 0.6830 0.3285
4 Ac 0.3714 0.8170 0.8285
5 Ac 0.3802 0.1934 0.4274
6 Ac 0.3802 0.3066 0.9274
7 Ac 0.6198 0.6934 0.0726
8 Ac 0.6198 0.8066 0.5726
9 Ac 0.6286 0.1830 0.1715
10 Ac 0.6286 0.3170 0.6715
11 Ac 0.8827 0.6568 0.3322
12 Ac 0.8827 0.8432 0.8322
13 Y 0.1400 0.6552 0.0655
14 Y 0.1400 0.8448 0.5655
15 Y 0.8600 0.1552 0.4345
16 Y 0.8600 0.3448 0.9345
17 Pt 0.1165 0.5476 0.8642
18 Pt 0.1165 0.9524 0.3642
19 Pt 0.3485 0.5485 0.5457
20 Pt 0.3485 0.9515 0.0457
21 Pt 0.3674 0.0648 0.6479
22 Pt 0.3674 0.4352 0.1479
23 Pt 0.6326 0.5648 0.8521
24 Pt 0.6326 0.9352 0.3521
25 Pt 0.6515 0.0485 0.9543
26 Pt 0.6515 0.4515 0.4543
27 Pt 0.8835 0.0476 0.6358
28 Pt 0.8835 0.4524 0.1358

The 10 most intense peaks (2θ from 10° to 80°), most intense first:
| d [Å] | 2θ/deg | Rel. int. | (hkl) |
| --- | --- | --- | --- |
| 2.647 | 33.9 | 1000 | 2 2 -2 |
| 2.815 | 31.8 | 934 | 2 2 1 |
| 3.085 | 28.9 | 784 | 0 1 4 |
| 3.654 | 24.4 | 591 | 2 1 1 |
| 2.187 | 41.3 | 458 | 4 0 0 |
| 2.196 | 41.1 | 379 | 2 1 5 |
| 2.202 | 41.0 | 373 | 2 1 -5 |
| 3.309 | 26.9 | 331 | 2 1 -2 |
| 2.217 | 40.7 | 319 | 0 3 3 |
| 8.748 | 10.1 | 278 | 1 0 0 |